(1)
This entry pairs a crystal structure of PuAl2I8 with its computed powder X-ray diffraction pattern. Radiation: copper Kα. Structure: a DFT-relaxed cell (PBE, Alexandria).
Kinematic intensities with the Lorentz-polarization factor, no thermal factor.

Structural model:
Cell: 20.8647 11.6016 10.9817 Å, 90.00 121.47 90.00°
Space group C2/c (No. 15)
One atom of each set of equivalent atoms:
Pu  0.0000  0.0326  0.2500 [4 per cell]
Al  0.0948  0.2413  0.0566 [8 per cell]
I  0.0442  0.1640  0.5797 [8 per cell]
I  0.1091  0.4391  0.9843 [8 per cell]
I  0.1295  0.2273  0.3197 [8 per cell]
I  0.1650  0.0831  0.0071 [8 per cell]

The 12 most intense peaks (10° ≤ 2θ ≤ 90°), low angle first:
h k l  2θ (°)  I/Imax
1 1 1  14.91  21
4 2 -1  22.92  36
4 2 -2  24.47  100
3 1 -3  25.52  19
5 1 0  26.19  32
1 1 -3  27.42  44
3 3 -2  28.68  22
5 3 -1  31.73  48
5 3 -2  32.09  20
5 1 -4  33.95  25
9 1 -2  39.92  19
1 5 1  41.02  20

=====

(2)
This entry pairs a crystal structure of Ho3Zn2Cd2 with its computed powder X-ray diffraction pattern. Radiation: copper Kα. Structure: a DFT-relaxed cell (PBE, Alexandria).
Kinematic intensities with the Lorentz-polarization factor, no thermal factor.

Structural model:
Cell: 4.3355 21.3635 3.5440 Å, 90.00 90.00 90.00°
Space group Cmmm (No. 65)
One atom of each set of equivalent atoms:
Ho  0.0000  0.0000  0.0000 [2 per cell]
Ho  0.0000  0.1649  0.0000 [4 per cell]
Zn  0.0000  0.2811  0.5000 [4 per cell]
Cd  0.0000  0.4184  0.5000 [4 per cell]

The 12 most intense peaks (10° ≤ 2θ ≤ 90°), low angle first:
h k l  2θ (°)  I/Imax
1 5 0  29.35  32
1 1 1  32.91  100
1 3 1  35.05  15
0 6 1  35.75  77
1 7 0  35.99  61
2 0 0  41.66  31
0 0 2  51.58  19
2 6 1  56.04  42
1 7 2  64.49  22
1 13 1  66.30  18
2 0 2  68.38  14
3 1 1  70.51  11

=====

(3)
This entry pairs a crystal structure of ThAgHgAu with its computed powder X-ray diffraction pattern. Radiation: copper Kα. Structure: a DFT-relaxed cell (PBE, Alexandria).
Kinematic intensities with the Lorentz-polarization factor, no thermal factor.

Structural model:
Cell: 5.0962 5.0962 7.1029 Å, 90.00 90.00 90.00°
Space group I-4m2 (No. 119)
One atom of each set of equivalent atoms:
Th  0.0000  0.0000  0.0000 [2 per cell]
Ag  0.0000  0.0000  0.5000 [2 per cell]
Hg  0.0000  0.5000  0.7500 [2 per cell]
Au  0.0000  0.5000  0.2500 [2 per cell]

The 12 most intense peaks (10° ≤ 2θ ≤ 90°), low angle first:
h k l  2θ (°)  I/Imax
1 0 1  21.46  8
2 0 0  35.22  51
1 1 2  35.49  100
2 2 0  50.66  18
0 0 4  51.46  9
3 1 2  63.38  38
2 0 4  63.90  18
4 0 0  74.47  6
2 2 4  75.11  12
4 2 0  85.14  9
3 3 2  85.30  9
1 1 6  86.54  8